1.
This entry pairs a crystal structure of Gd2Zr2O7 with its computed X-ray powder pattern. Radiation: Cu Kα (λ = 1.5418 Å). Structure: DFT lattice parameters and positions (PBE).
No peak broadening, texture or thermal motion is included.

Principal peaks in the range 2θ from 10° to 90°, sorted by position:
2θ (°)	I_rel
14.55	4.3
28.07	7.2
29.34	100.0
34.01	29.4
48.86	52.8
58.03	43.1
60.87	8.2
71.60	7.8
79.20	17.3
81.69	11.3

Structure:
```
Gd2Zr2O7
1.0
0.0000 5.2717 5.2717
5.2717 0.0000 5.2717
5.2717 5.2717 0.0000
Gd Zr O
4 4 14
Cartesian
0.0000 0.0000 0.0000
2.6359 2.6359 0.0000
2.6359 0.0000 2.6359
0.0000 2.6359 2.6359
5.2717 2.6359 2.6359
2.6359 5.2717 2.6359
2.6359 2.6359 5.2717
5.2717 5.2717 5.2717
3.9538 3.9538 1.3309
3.9538 1.3309 3.9538
6.5767 3.9538 3.9538
3.9538 3.9538 3.9538
6.5897 6.5897 3.9668
6.5897 3.9668 6.5897
9.2126 6.5897 6.5897
1.3309 3.9538 3.9538
3.9538 6.5767 3.9538
3.9538 3.9538 6.5767
6.5897 6.5897 6.5897
3.9668 6.5897 6.5897
6.5897 9.2126 6.5897
6.5897 6.5897 9.2126
```

=====

2.
This entry pairs a crystal structure of ScBiO3 with its computed X-ray powder pattern. Radiation: Cu Kα (λ = 1.5418 Å). Structure: DFT lattice parameters and positions (PBE).
No peak broadening, texture or thermal motion is included.

Principal peaks in the range 2θ from 10° to 90°, sorted by position:
2θ (°)	I_rel
21.49	100.0
30.22	90.4
30.93	86.6
37.97	34.0
43.78	39.8
48.80	42.5
49.75	23.3
53.23	16.6
54.56	39.0
55.00	22.5

Structure:
```
ScBiO3
1.0
2.8916 1.6694 4.8867
-2.8916 1.6694 4.8867
0.0000 -3.3389 4.8867
Sc Bi O
2 2 6
Cartesian
0.0000 0.0000 0.0000
0.0000 0.0000 7.3300
0.0000 0.0000 4.1818
0.0000 0.0000 11.5118
-0.4835 -1.5527 5.8180
-1.7886 -0.4743 8.2613
-1.1029 1.1951 5.8180
1.3051 -1.3118 8.2613
1.5865 0.3576 5.8180
0.4835 1.7862 8.2613
```

=====

3.
This entry pairs a crystal structure of Sr5Ge3 with its computed X-ray powder pattern. Radiation: Cu Kα (λ = 1.5418 Å). Structure: DFT lattice parameters and positions (PBE).
No peak broadening, texture or thermal motion is included.

Principal peaks in the range 2θ from 10° to 90°, sorted by position:
2θ (°)	I_rel
29.65	100.0
30.94	20.3
31.33	64.2
34.70	45.8
37.40	15.1
46.14	14.4
49.03	14.5
52.76	17.7
58.43	15.4
62.43	19.1

Structure:
```
Sr5Ge3
1.0
-4.0873 4.0873 7.9812
4.0873 -4.0873 7.9812
4.0873 4.0873 -7.9812
Sr Ge
10 6
Cartesian
0.0000 0.0000 0.0000
5.5450 1.4577 -2.2474
1.4577 2.6297 -2.2474
5.5450 1.4577 2.2474
1.4577 2.6297 2.2474
0.0000 0.0000 7.9812
2.6297 1.4577 5.7338
-1.4577 2.6297 5.7338
2.6297 1.4577 10.2285
-1.4577 2.6297 10.2285
3.1577 0.9297 0.0000
0.0000 0.0000 3.9906
3.1577 -0.9297 7.9812
0.9297 5.0170 0.0000
0.0000 0.0000 11.9718
0.9297 3.1577 7.9812
```

=====

4.
This entry pairs a crystal structure of CaEuZnSbO6 with its computed X-ray powder pattern. Radiation: Cu Kα (λ = 1.5418 Å). Structure: DFT lattice parameters and positions (PBE).
No peak broadening, texture or thermal motion is included.

Principal peaks in the range 2θ from 10° to 90°, sorted by position:
2θ (°)	I_rel
19.22	25.7
31.64	100.0
37.29	15.0
45.36	33.4
49.69	6.7
56.36	38.7
60.12	5.3
66.09	19.7
75.13	16.6
83.80	6.6

Structure:
```
CaEuZnSbO6
1.0
0.0000 3.9987 3.9987
3.9987 0.0000 3.9987
3.9987 3.9987 0.0000
Ca Eu Zn Sb O
1 1 1 1 6
Cartesian
0.0000 0.0000 0.0000
3.9987 3.9987 3.9987
5.9981 5.9981 5.9981
1.9994 1.9994 1.9994
1.9994 1.9994 0.0276
1.9994 0.0276 1.9994
3.9711 1.9994 1.9994
0.0276 1.9994 1.9994
1.9994 3.9711 1.9994
1.9994 1.9994 3.9711
```

=====

5.
This entry pairs a crystal structure of UAl2 with its computed X-ray powder pattern. Radiation: Cu Kα (λ = 1.5418 Å). Structure: DFT lattice parameters and positions (PBE).
No peak broadening, texture or thermal motion is included.

Principal peaks in the range 2θ from 10° to 90°, sorted by position:
2θ (°)	I_rel
19.05	70.2
21.13	76.6
31.99	100.0
36.87	83.8
37.49	23.4
38.62	65.3
41.75	21.8
49.60	21.8
54.37	25.7
60.24	40.0

Structure:
```
UAl2
1.0
5.5962 0.0000 0.0000
-2.7981 4.8465 0.0000
0.0000 0.0000 16.9226
U Al
8 16
Cartesian
0.0000 0.0000 1.2947
0.0000 0.0000 7.1666
0.0000 0.0000 9.7560
0.0000 0.0000 15.6279
0.0000 3.2310 2.9192
0.0000 3.2310 5.5421
2.7981 1.6155 11.3805
2.7981 1.6155 14.0034
-1.3991 2.4232 0.0000
-1.3991 2.4232 8.4613
0.0000 1.5328 12.6919
-1.4707 4.0801 12.6919
1.3274 0.7664 4.2306
0.0000 3.2310 10.6187
0.0000 3.2310 14.7652
2.7981 0.0000 0.0000
2.7981 0.0000 8.4613
1.3991 2.4232 0.0000
1.3991 2.4232 8.4613
2.7981 1.6155 2.1574
2.7981 1.6155 6.3039
1.4707 4.0801 12.6919
4.2688 0.7664 4.2306
2.7981 3.3137 4.2306
```

=====

6.
This entry pairs a crystal structure of Ni with its computed X-ray powder pattern. Radiation: Cu Kα (λ = 1.5418 Å). Structure: DFT lattice parameters and positions (PBE).
No peak broadening, texture or thermal motion is included.

Principal peaks in the range 2θ from 10° to 90°, sorted by position:
2θ (°)	I_rel
13.10	100.0
33.14	14.8
40.03	15.8
43.23	10.5
43.77	28.5
45.36	41.8
47.07	10.6
47.93	45.1
51.35	34.6
55.53	19.2

Structure:
```
Ni
1.0
2.4167 0.0000 0.0000
-1.2083 2.0929 0.0000
0.0000 0.0000 13.5153
Ni
2
Cartesian
0.0000 1.3953 5.7472
1.2083 0.6976 7.7681
```

=====

7.
This entry pairs a crystal structure of MgTe4Mo2W2Se2S2 with its computed X-ray powder pattern. Radiation: Cu Kα (λ = 1.5418 Å). Structure: DFT lattice parameters and positions (PBE).
No peak broadening, texture or thermal motion is included.

Principal peaks in the range 2θ from 10° to 90°, sorted by position:
2θ (°)	I_rel
11.53	51.9
30.48	69.0
32.01	31.3
34.30	78.3
36.30	35.0
39.89	100.0
41.21	33.6
42.62	25.4
54.13	42.2
55.11	21.3

Structure:
```
MgTe4Mo2W2Se2S2
1.0
3.3889 0.0000 0.0000
-1.6945 2.9349 0.0000
0.0000 0.0000 46.0483
Mg Te Mo W Se S
1 4 2 2 2 2
Cartesian
0.0000 0.0000 0.0000
0.0000 1.9566 11.2015
0.0000 1.9566 14.9535
1.6945 0.9783 31.2984
1.6945 0.9783 35.0526
0.0000 1.9566 33.1754
1.6945 0.9783 13.0767
0.0000 1.9566 4.7209
1.6945 0.9783 41.4912
1.6945 0.9783 3.0476
1.6945 0.9783 6.3771
0.0000 1.9566 39.9914
0.0000 1.9566 43.0004
```